[1]
The following is a computed X-ray powder pattern of Si3Os2. It was derived from a cell relaxed with GGA-PBE, using Cu Kα, 1.54184 Å.

Largest 10 diffraction maxima, in order of rising 2θ, 15° ≤ 2θ ≤ 90°:
- 2θ = 25.4°, I = 1000, hkl 1 0 2
- 2θ = 31.7°, I = 561, hkl 2 0 0
- 2θ = 41.0°, I = 845, hkl 2 1 2
- 2θ = 45.4°, I = 304, hkl 2 2 0
- 2θ = 46.5°, I = 552, hkl 1 1 4
- 2θ = 52.7°, I = 252, hkl 3 0 2
- 2θ = 62.8°, I = 164, hkl 3 2 2
- 2θ = 67.0°, I = 302, hkl 3 1 4
- 2θ = 72.1°, I = 141, hkl 4 1 2
- 2θ = 75.2°, I = 144, hkl 4 2 0

Atomic structure:
abc: 5.651 5.651 8.944
angles: 90.00 90.00 90.00
Element x y z (fractional)
Si 0.144 0.294 0.409
Si 0.144 0.706 0.909
Si 0.294 0.144 0.091
Si 0.294 0.856 0.591
Si 0.332 0.332 0.750
Si 0.332 0.668 0.250
Si 0.668 0.332 0.250
Si 0.668 0.668 0.750
Si 0.706 0.144 0.591
Si 0.706 0.856 0.091
Si 0.856 0.294 0.909
Si 0.856 0.706 0.409
Os 0.000 0.000 0.250
Os 0.000 0.000 0.750
Os 0.000 0.500 0.128
Os 0.000 0.500 0.628
Os 0.500 0.000 0.372
Os 0.500 0.000 0.872
Os 0.500 0.500 0.000
Os 0.500 0.500 0.500

=====

[2]
The following is a computed X-ray powder pattern of SiOs. It was derived from a cell relaxed with GGA-PBE, using Cu Kα, 1.54184 Å.

Largest 10 diffraction maxima, in order of rising 2θ, 15° ≤ 2θ ≤ 90°:
- 2θ = 26.3°, I = 592, hkl 1 1 0
- 2θ = 32.3°, I = 264, hkl 1 1 1
- 2θ = 42.1°, I = 1000, hkl 2 1 0
- 2θ = 46.4°, I = 442, hkl 2 1 1
- 2θ = 61.1°, I = 124, hkl 3 1 0
- 2θ = 64.5°, I = 147, hkl 3 1 1
- 2θ = 67.7°, I = 125, hkl 2 2 2
- 2θ = 70.9°, I = 172, hkl 3 0 2
- 2θ = 74.0°, I = 226, hkl 3 1 2
- 2θ = 80.1°, I = 85, hkl 4 0 0

Atomic structure:
abc: 4.794 4.794 4.794
angles: 90.00 90.00 90.00
Element x y z (fractional)
Si 0.165 0.335 0.665
Si 0.335 0.665 0.165
Si 0.665 0.165 0.335
Si 0.835 0.835 0.835
Os 0.123 0.123 0.123
Os 0.377 0.877 0.623
Os 0.623 0.377 0.877
Os 0.877 0.623 0.377

=====

[3]
The following is a computed X-ray powder pattern of SiOs. It was derived from a cell relaxed with GGA-PBE, using Cu Kα, 1.54184 Å.

Largest 6 diffraction maxima, in order of rising 2θ, 15° ≤ 2θ ≤ 90°:
- 2θ = 30.2°, I = 704, hkl 1 0 0
- 2θ = 43.2°, I = 1000, hkl 1 1 0
- 2θ = 53.6°, I = 197, hkl 1 1 1
- 2θ = 62.8°, I = 167, hkl 2 0 0
- 2θ = 71.3°, I = 254, hkl 2 1 0
- 2θ = 79.3°, I = 347, hkl 2 1 1

Atomic structure:
abc: 2.959 2.959 2.959
angles: 90.00 90.00 90.00
Element x y z (fractional)
Si 0.000 0.000 0.000
Os 0.500 0.500 0.500

=====

[4]
The following is a computed X-ray powder pattern of ThSi3Os. It was derived from a cell relaxed with GGA-PBE, using Cu Kα, 1.54184 Å.

Largest 10 diffraction maxima, in order of rising 2θ, 15° ≤ 2θ ≤ 90°:
- 2θ = 17.8°, I = 198, hkl 0 0 2
- 2θ = 22.7°, I = 507, hkl 1 0 1
- 2θ = 29.7°, I = 637, hkl 1 1 0
- 2θ = 34.2°, I = 1000, hkl 1 0 3
- 2θ = 34.8°, I = 418, hkl 1 1 2
- 2θ = 42.5°, I = 414, hkl 2 0 0
- 2θ = 50.5°, I = 151, hkl 1 0 5
- 2θ = 55.7°, I = 513, hkl 2 1 3
- 2θ = 64.0°, I = 182, hkl 1 1 6
- 2θ = 87.8°, I = 150, hkl 3 2 3

Atomic structure:
abc: 4.255 4.255 9.973
angles: 90.00 90.00 90.00
Element x y z (fractional)
Th 0.000 0.000 0.000
Th 0.500 0.500 0.500
Si 0.000 0.000 0.423
Si 0.000 0.500 0.268
Si 0.000 0.500 0.768
Si 0.500 0.000 0.268
Si 0.500 0.000 0.768
Si 0.500 0.500 0.923
Os 0.000 0.000 0.660
Os 0.500 0.500 0.160

=====

[5]
The following is a computed X-ray powder pattern of Th2Si3Os. It was derived from a cell relaxed with GGA-PBE, using Cu Kα, 1.54184 Å.

Largest 10 diffraction maxima, in order of rising 2θ, 15° ≤ 2θ ≤ 90°:
- 2θ = 22.0°, I = 226, hkl 0 1 1
- 2θ = 24.7°, I = 166, hkl 0 0 4
- 2θ = 28.6°, I = 358, hkl 1 0 3
- 2θ = 32.9°, I = 1000, hkl 1 1 2
- 2θ = 37.8°, I = 253, hkl 0 1 5
- 2θ = 38.1°, I = 208, hkl 1 0 5
- 2θ = 43.0°, I = 173, hkl 0 2 0
- 2θ = 44.1°, I = 161, hkl 2 0 0
- 2θ = 49.2°, I = 161, hkl 0 1 7
- 2θ = 52.5°, I = 139, hkl 1 2 3

Atomic structure:
abc: 4.103 4.204 14.440
angles: 90.00 90.00 90.00
Element x y z (fractional)
Th 0.000 0.000 0.000
Th 0.000 0.500 0.245
Th 0.500 0.000 0.745
Th 0.500 0.500 0.500
Si 0.000 0.000 0.416
Si 0.000 0.500 0.665
Si 0.000 0.500 0.830
Si 0.500 0.000 0.165
Si 0.500 0.000 0.330
Si 0.500 0.500 0.916
Os 0.000 0.000 0.580
Os 0.500 0.500 0.080

=====

[6]
The following is a computed X-ray powder pattern of TaOs3. It was derived from a cell relaxed with GGA-PBE, using Cu Kα, 1.54184 Å.

Largest 5 diffraction maxima, in order of rising 2θ, 15° ≤ 2θ ≤ 90°:
- 2θ = 39.7°, I = 1000, hkl 1 1 1
- 2θ = 46.1°, I = 491, hkl 2 0 0
- 2θ = 67.3°, I = 322, hkl 2 2 0
- 2θ = 81.0°, I = 389, hkl 3 1 1
- 2θ = 85.5°, I = 115, hkl 2 2 2

Atomic structure:
abc: 3.935 3.935 3.935
angles: 90.00 90.00 90.00
Element x y z (fractional)
Ta 0.000 0.000 0.000
Os 0.000 0.500 0.500
Os 0.500 0.000 0.500
Os 0.500 0.500 0.000

=====

[7]
The following is a computed X-ray powder pattern of TaOs3. It was derived from a cell relaxed with GGA-PBE, using Cu Kα, 1.54184 Å.

Largest 10 diffraction maxima, in order of rising 2θ, 15° ≤ 2θ ≤ 90°:
- 2θ = 37.0°, I = 242, hkl 2 0 0
- 2θ = 40.4°, I = 253, hkl 0 0 2
- 2θ = 42.4°, I = 1000, hkl 2 0 1
- 2θ = 56.0°, I = 149, hkl 2 0 2
- 2θ = 66.7°, I = 176, hkl 2 2 0
- 2θ = 74.8°, I = 191, hkl 2 0 3
- 2θ = 78.8°, I = 28, hkl 4 0 0
- 2θ = 81.0°, I = 208, hkl 2 2 2
- 2θ = 82.3°, I = 150, hkl 4 0 1
- 2θ = 87.4°, I = 30, hkl 0 0 4

Atomic structure:
abc: 5.610 5.610 4.463
angles: 90.00 90.00 120.00
Element x y z (fractional)
Ta 0.333 0.667 0.250
Ta 0.667 0.333 0.750
Os 0.166 0.331 0.750
Os 0.166 0.834 0.750
Os 0.331 0.166 0.250
Os 0.669 0.834 0.750
Os 0.834 0.166 0.250
Os 0.834 0.669 0.250

=====

[8]
The following is a computed X-ray powder pattern of TaOs3. It was derived from a cell relaxed with GGA-PBE, using Cu Kα, 1.54184 Å.

Largest 10 diffraction maxima, in order of rising 2θ, 15° ≤ 2θ ≤ 90°:
- 2θ = 37.2°, I = 242, hkl 1 0 0
- 2θ = 39.7°, I = 253, hkl 0 0 4
- 2θ = 42.4°, I = 1000, hkl 1 0 2
- 2θ = 55.5°, I = 145, hkl 1 0 4
- 2θ = 67.2°, I = 176, hkl 1 1 0
- 2θ = 73.9°, I = 172, hkl 1 0 6
- 2θ = 79.4°, I = 28, hkl 2 0 0
- 2θ = 80.9°, I = 198, hkl 1 1 4
- 2θ = 82.7°, I = 149, hkl 2 0 2
- 2θ = 85.5°, I = 24, hkl 0 0 8

Atomic structure:
abc: 2.788 2.788 9.087
angles: 90.00 90.00 120.00
Element x y z (fractional)
Ta 0.000 0.000 0.000
Os 0.000 0.000 0.500
Os 0.667 0.333 0.265
Os 0.667 0.333 0.735

=====

[9]
The following is a computed X-ray powder pattern of Ta3Os. It was derived from a cell relaxed with GGA-PBE, using Cu Kα, 1.54184 Å.

Largest 4 diffraction maxima, in order of rising 2θ, 15° ≤ 2θ ≤ 90°:
- 2θ = 39.4°, I = 1000, hkl 2 2 0
- 2θ = 56.9°, I = 173, hkl 4 0 0
- 2θ = 71.4°, I = 354, hkl 4 2 2
- 2θ = 84.7°, I = 115, hkl 4 4 0

Atomic structure:
abc: 6.476 6.476 6.476
angles: 90.00 90.00 90.00
Element x y z (fractional)
Ta 0.000 0.000 0.000
Ta 0.000 0.500 0.500
Ta 0.250 0.250 0.250
Ta 0.250 0.250 0.750
Ta 0.250 0.750 0.250
Ta 0.250 0.750 0.750
Ta 0.500 0.000 0.500
Ta 0.500 0.500 0.000
Ta 0.750 0.250 0.250
Ta 0.750 0.250 0.750
Ta 0.750 0.750 0.250
Ta 0.750 0.750 0.750
Os 0.000 0.000 0.500
Os 0.000 0.500 0.000
Os 0.500 0.000 0.000
Os 0.500 0.500 0.500